The following is a simulated X-ray powder pattern of RbWCl6. It was derived from a GGA-PBE-relaxed structure, using copper Kα.
No peak broadening, texture or thermal motion is included.

Atomic structure:
Cell: 12.1742 6.5798 12.3903 Å, 90.00 102.02 90.00°
Space group C2/c (No. 15)
Symmetry-distinct sites (fractional):
Rb1 0.0000 0.0967 0.2500 [4 per cell]
W1 0.2500 0.2500 0.0000 [4 per cell]
Cl1 0.0829 0.3855 0.8967 [8 per cell]
Cl2 0.1527 0.0445 0.5326 [8 per cell]
Cl3 0.2119 0.3995 0.1606 [8 per cell]

Main lines, most intense first (10 to 90 degrees two-theta):
index, Position (°2θ), I_rel
1 1 1, 17.70, 100.0
1 1 -1, 16.36, 67.3
2 0 -2, 18.59, 51.7
2 2 -1, 31.20, 37.9
1 1 -3, 25.63, 32.6
0 0 2, 14.62, 31.7
2 0 2, 23.02, 29.8
2 0 0, 14.88, 29.5
3 1 -1, 25.93, 26.7
1 1 -4, 31.96, 25.9

The following is a simulated X-ray powder pattern of SmHf2F11. It was derived from a GGA-PBE-relaxed structure, using copper Kα.
No peak broadening, texture or thermal motion is included.

Atomic structure:
Cell: 7.7672 10.0034 10.8871 Å, 90.00 90.00 90.00°
Space group Ibam (No. 72)
Symmetry-distinct sites (fractional):
Sm1 0.0000 0.0000 0.2500 [4 per cell]
Hf1 0.1353 0.3186 0.0000 [8 per cell]
F1 0.0000 0.5000 0.0000 [4 per cell]
F2 0.1015 0.1835 0.1372 [16 per cell]
F3 0.1293 0.2817 0.5000 [8 per cell]
F4 0.2343 0.0764 0.3695 [16 per cell]

Main lines, most intense first (10 to 90 degrees two-theta):
index, Position (°2θ), I_rel
1 1 2, 21.83, 100.0
2 1 1, 25.94, 85.3
0 2 2, 24.16, 76.9
1 2 1, 22.67, 52.3
1 3 4, 44.52, 48.5
0 0 2, 16.28, 38.2
3 3 2, 47.49, 36.2
1 3 0, 29.14, 35.7
1 5 2, 49.97, 21.6
1 4 3, 45.57, 20.7